No. 1
Structure and theoretical powder X-ray diffraction pattern of HfZnAs2 (a DFT-relaxed cell (PBE, Alexandria); Cu Kα).
Lines closer than 0.1° are merged.

Principal peaks in the range 2θ = 10–90°, in order of falling intensity:
| Position (°2θ) | Rel. int. |
| --- | --- |
| 26.1 | 100 |
| 43.3 | 48 |
| 51.1 | 31 |
| 43.1 | 24 |
| 79.2 | 16 |
| 51.4 | 15 |
| 16.7 | 15 |
| 69.3 | 12 |

Atomic structure:
```
data_HfZnAs2
_chemical_formula_sum 'Hf4 Zn4 As8'
_cell_length_a 5.935
_cell_length_b 5.935
_cell_length_c 11.765
_cell_angle_alpha 90.00
_cell_angle_beta 90.00
_cell_angle_gamma 90.00
_symmetry_space_group_name_H-M 'I -4 2 d'
_symmetry_Int_Tables_number 122
_symmetry_space_group_name_Hall 'I -4 2bw'
loop_
_atom_site_label
_atom_site_type_symbol
_atom_site_fract_x
_atom_site_fract_y
_atom_site_fract_z
Hf1 Hf 0.000 0.000 0.000
Zn1 Zn 0.000 0.000 0.500
As1 As 0.239 0.250 0.625
```

=====

No. 2
Structure and theoretical powder X-ray diffraction pattern of La2AgIrN (a DFT-relaxed cell (PBE, Alexandria); Cu Kα).
Lines closer than 0.1° are merged.

Principal peaks in the range 2θ = 10–90°, in order of falling intensity:
| Position (°2θ) | Rel. int. |
| --- | --- |
| 33.2 | 100 |
| 33.6 | 53 |
| 59.8 | 37 |
| 59.1 | 21 |
| 48.2 | 19 |
| 69.7 | 12 |
| 47.1 | 10 |
| 80.5 | 8 |

Atomic structure:
```
data_La2AgIrN
_chemical_formula_sum 'La2 Ag1 Ir1 N1'
_cell_length_a 5.336
_cell_length_b 5.336
_cell_length_c 3.858
_cell_angle_alpha 90.00
_cell_angle_beta 90.00
_cell_angle_gamma 90.00
_symmetry_space_group_name_H-M 'P 4/m m m'
_symmetry_Int_Tables_number 123
_symmetry_space_group_name_Hall '-P 4 2'
loop_
_atom_site_label
_atom_site_type_symbol
_atom_site_fract_x
_atom_site_fract_y
_atom_site_fract_z
La1 La 0.000 0.500 0.000
Ag1 Ag 0.000 0.000 0.500
Ir1 Ir 0.500 0.500 0.500
N1 N 0.500 0.500 0.000
```